# 1
For Sc2Si6Ni21, a DFT-relaxed cell (PBE, Alexandria) gives the simulated X-ray diffraction stick pattern in this record (Cu Kα X-rays).
Neutral-atom scattering factors, no anomalous dispersion.

Largest 6 diffraction maxima, in order of rising 2θ, 5° ≤ 2θ ≤ 70°:
2θ 39.38, rel. 161; 2θ 41.87, rel. 1000; 2θ 45.79, rel. 314; 2θ 48.01, rel. 306; 2θ 48.74, rel. 163; 2θ 54.28, rel. 115

Structural model:
Unit cell a=7.927 b=7.927 c=7.927 alpha=60.00 beta=60.00 gamma=60.00
Fractional positions:
1 Sc 0.250 0.250 0.250
2 Sc 0.750 0.750 0.750
3 Si 0.234 0.234 0.766
4 Si 0.234 0.766 0.234
5 Si 0.234 0.766 0.766
6 Si 0.766 0.234 0.234
7 Si 0.766 0.234 0.766
8 Si 0.766 0.766 0.234
9 Ni 0.118 0.118 0.118
10 Ni 0.118 0.118 0.645
11 Ni 0.118 0.645 0.118
12 Ni 0.150 0.500 0.500
13 Ni 0.150 0.500 0.850
14 Ni 0.150 0.850 0.500
15 Ni 0.355 0.882 0.882
16 Ni 0.500 0.150 0.500
17 Ni 0.500 0.150 0.850
18 Ni 0.500 0.500 0.150
19 Ni 0.500 0.500 0.500
20 Ni 0.500 0.500 0.850
21 Ni 0.500 0.850 0.150
22 Ni 0.500 0.850 0.500
23 Ni 0.645 0.118 0.118
24 Ni 0.850 0.150 0.500
25 Ni 0.850 0.500 0.150
26 Ni 0.850 0.500 0.500
27 Ni 0.882 0.355 0.882
28 Ni 0.882 0.882 0.355
29 Ni 0.882 0.882 0.882



# 2
For Sc12Ni5Sn, a DFT-relaxed cell (PBE, Alexandria) gives the simulated X-ray diffraction stick pattern in this record (Cu Kα X-rays).
Neutral-atom scattering factors, no anomalous dispersion.

Largest 6 diffraction maxima, in order of rising 2θ, 5° ≤ 2θ ≤ 70°:
2θ 20.30, rel. 432; 2θ 34.76, rel. 1000; 2θ 37.01, rel. 834; 2θ 37.67, rel. 959; 2θ 38.16, rel. 389; 2θ 41.28, rel. 418

Structural model:
Unit cell a=7.753 b=7.753 c=7.753 alpha=111.32 beta=110.73 gamma=106.41
Fractional positions:
1 Sc 0.024 0.220 0.804
2 Sc 0.183 0.285 0.468
3 Sc 0.183 0.715 0.897
4 Sc 0.322 0.021 0.700
5 Sc 0.322 0.622 0.300
6 Sc 0.416 0.220 0.196
7 Sc 0.584 0.780 0.804
8 Sc 0.678 0.378 0.700
9 Sc 0.678 0.979 0.300
10 Sc 0.817 0.285 0.103
11 Sc 0.817 0.715 0.532
12 Sc 0.976 0.780 0.196
13 Ni 0.000 0.000 0.000
14 Ni 0.128 0.628 0.500
15 Ni 0.356 0.000 0.356
16 Ni 0.644 0.000 0.644
17 Ni 0.872 0.372 0.500
18 Sn 0.500 0.500 0.000



# 3
For ScNi2Sn2, a DFT-relaxed cell (PBE, Alexandria) gives the simulated X-ray diffraction stick pattern in this record (Cu Kα X-rays).
Neutral-atom scattering factors, no anomalous dispersion.

Largest 6 diffraction maxima, in order of rising 2θ, 5° ≤ 2θ ≤ 70°:
2θ 21.98, rel. 209; 2θ 28.29, rel. 190; 2θ 40.02, rel. 270; 2θ 40.85, rel. 255; 2θ 41.11, rel. 1000; 2θ 58.52, rel. 174

Structural model:
Unit cell a=4.418 b=4.506 c=9.174 alpha=90.00 beta=90.00 gamma=90.00
Fractional positions:
1 Sc 0.250 0.250 0.171
2 Sc 0.750 0.750 0.829
3 Ni 0.250 0.750 0.000
4 Ni 0.250 0.750 0.330
5 Ni 0.750 0.250 0.000
6 Ni 0.750 0.250 0.670
7 Sn 0.250 0.250 0.500
8 Sn 0.250 0.250 0.837
9 Sn 0.750 0.750 0.163
10 Sn 0.750 0.750 0.500



# 4
For Zr4ScNi5Sn5, a DFT-relaxed cell (PBE, Alexandria) gives the simulated X-ray diffraction stick pattern in this record (Cu Kα X-rays).
Neutral-atom scattering factors, no anomalous dispersion.

Largest 6 diffraction maxima, in order of rising 2θ, 5° ≤ 2θ ≤ 70°:
2θ 25.02, rel. 393; 2θ 28.97, rel. 699; 2θ 41.37, rel. 1000; 2θ 41.49, rel. 993; 2θ 51.39, rel. 147; 2θ 60.03, rel. 328

Structural model:
Unit cell a=18.019 b=18.019 c=18.019 alpha=13.88 beta=13.88 gamma=13.88
Fractional positions:
1 Zr 0.000 0.000 0.000
2 Zr 0.199 0.199 0.199
3 Zr 0.400 0.400 0.400
4 Zr 0.800 0.800 0.800
5 Sc 0.601 0.601 0.601
6 Ni 0.050 0.050 0.050
7 Ni 0.249 0.249 0.249
8 Ni 0.450 0.450 0.450
9 Ni 0.651 0.651 0.651
10 Ni 0.850 0.850 0.850
11 Sn 0.100 0.100 0.100
12 Sn 0.300 0.300 0.300
13 Sn 0.500 0.500 0.500
14 Sn 0.700 0.700 0.700
15 Sn 0.900 0.900 0.900



# 5
For ZrScNi2Sn2, a DFT-relaxed cell (PBE, Alexandria) gives the simulated X-ray diffraction stick pattern in this record (Cu Kα X-rays).
Neutral-atom scattering factors, no anomalous dispersion.

Largest 6 diffraction maxima, in order of rising 2θ, 5° ≤ 2θ ≤ 70°:
2θ 24.99, rel. 269; 2θ 28.94, rel. 314; 2θ 41.38, rel. 1000; 2θ 48.95, rel. 136; 2θ 59.96, rel. 164; 2θ 67.93, rel. 119

Structural model:
Unit cell a=7.561 b=7.561 c=7.561 alpha=33.53 beta=33.53 gamma=33.53
Fractional positions:
1 Zr 0.000 0.000 0.000
2 Sc 0.502 0.502 0.502
3 Ni 0.125 0.125 0.125
4 Ni 0.627 0.627 0.627
5 Sn 0.251 0.251 0.251
6 Sn 0.752 0.752 0.752



# 6
For Sc2TaNi, a DFT-relaxed cell (PBE, Alexandria) gives the simulated X-ray diffraction stick pattern in this record (Cu Kα X-rays).
Neutral-atom scattering factors, no anomalous dispersion.

Largest 6 diffraction maxima, in order of rising 2θ, 5° ≤ 2θ ≤ 70°:
2θ 21.06, rel. 220; 2θ 23.92, rel. 356; 2θ 30.49, rel. 182; 2θ 37.36, rel. 1000; 2θ 43.67, rel. 318; 2θ 62.86, rel. 207

Structural model:
Unit cell a=5.137 b=5.137 c=5.137 alpha=132.40 beta=132.40 gamma=69.60
Fractional positions:
1 Sc 0.250 0.750 0.500
2 Sc 0.750 0.250 0.500
3 Ta 0.000 0.000 0.000
4 Ni 0.500 0.500 0.000



# 7
For ScTa2Ni, a DFT-relaxed cell (PBE, Alexandria) gives the simulated X-ray diffraction stick pattern in this record (Cu Kα X-rays).
Neutral-atom scattering factors, no anomalous dispersion.

Largest 6 diffraction maxima, in order of rising 2θ, 5° ≤ 2θ ≤ 70°:
2θ 11.44, rel. 566; 2θ 31.95, rel. 287; 2θ 37.91, rel. 1000; 2θ 42.55, rel. 391; 2θ 61.74, rel. 128; 2θ 65.23, rel. 159

Structural model:
Unit cell a=3.005 b=3.005 c=7.737 alpha=90.00 beta=90.00 gamma=90.00
Fractional positions:
1 Sc 0.000 0.000 0.000
2 Ta 0.000 0.000 0.563
3 Ta 0.500 0.500 0.292
4 Ni 0.500 0.500 0.759



# 8
For TbSc2Ni3, a DFT-relaxed cell (PBE, Alexandria) gives the simulated X-ray diffraction stick pattern in this record (Cu Kα X-rays).
Neutral-atom scattering factors, no anomalous dispersion.

Largest 6 diffraction maxima, in order of rising 2θ, 5° ≤ 2θ ≤ 70°:
2θ 9.04, rel. 323; 2θ 29.09, rel. 192; 2θ 33.22, rel. 193; 2θ 39.24, rel. 1000; 2θ 39.42, rel. 524; 2θ 56.97, rel. 170

Structural model:
Unit cell a=3.233 b=3.233 c=9.785 alpha=90.00 beta=90.00 gamma=90.00
Fractional positions:
1 Tb 0.000 0.000 0.000
2 Sc 0.000 0.000 0.341
3 Sc 0.000 0.000 0.659
4 Ni 0.500 0.500 0.190
5 Ni 0.500 0.500 0.500
6 Ni 0.500 0.500 0.810



# 9
For TbSc5Ni6, a DFT-relaxed cell (PBE, Alexandria) gives the simulated X-ray diffraction stick pattern in this record (Cu Kα X-rays).
Neutral-atom scattering factors, no anomalous dispersion.

Largest 6 diffraction maxima, in order of rising 2θ, 5° ≤ 2θ ≤ 70°:
2θ 24.92, rel. 88; 2θ 31.10, rel. 88; 2θ 39.49, rel. 517; 2θ 39.87, rel. 1000; 2θ 57.09, rel. 163; 2θ 58.23, rel. 75

Structural model:
Unit cell a=7.219 b=7.219 c=6.337 alpha=90.00 beta=90.00 gamma=143.17
Fractional positions:
1 Tb 0.000 0.000 0.000
2 Sc 0.000 0.000 0.500
3 Sc 0.330 0.670 0.000
4 Sc 0.334 0.666 0.500
5 Sc 0.666 0.334 0.500
6 Sc 0.670 0.330 0.000
7 Ni 0.172 0.828 0.256
8 Ni 0.172 0.828 0.744
9 Ni 0.500 0.500 0.266
10 Ni 0.500 0.500 0.734
11 Ni 0.828 0.172 0.256
12 Ni 0.828 0.172 0.744



# 10
For TbSc3Ni8, a DFT-relaxed cell (PBE, Alexandria) gives the simulated X-ray diffraction stick pattern in this record (Cu Kα X-rays).
Neutral-atom scattering factors, no anomalous dispersion.

Largest 6 diffraction maxima, in order of rising 2θ, 5° ≤ 2θ ≤ 70°:
2θ 10.94, rel. 121; 2θ 36.33, rel. 203; 2θ 36.44, rel. 204; 2θ 42.93, rel. 1000; 2θ 43.01, rel. 335; 2θ 45.01, rel. 374

Structural model:
Unit cell a=8.574 b=8.574 c=8.574 alpha=33.43 beta=33.43 gamma=33.43
Fractional positions:
1 Tb 0.000 0.000 0.000
2 Sc 0.127 0.127 0.127
3 Sc 0.498 0.498 0.498
4 Sc 0.621 0.621 0.621
5 Ni 0.061 0.061 0.558
6 Ni 0.061 0.558 0.061
7 Ni 0.064 0.563 0.563
8 Ni 0.311 0.311 0.311
9 Ni 0.558 0.061 0.061
10 Ni 0.563 0.064 0.563
11 Ni 0.563 0.563 0.064
12 Ni 0.812 0.812 0.812



# 11
For Tb2ScNi9, a DFT-relaxed cell (PBE, Alexandria) gives the simulated X-ray diffraction stick pattern in this record (Cu Kα X-rays).
Neutral-atom scattering factors, no anomalous dispersion.

Largest 6 diffraction maxima, in order of rising 2θ, 5° ≤ 2θ ≤ 70°:
2θ 34.75, rel. 816; 2θ 36.62, rel. 554; 2θ 42.92, rel. 354; 2θ 43.06, rel. 1000; 2θ 44.47, rel. 408; 2θ 45.87, rel. 631

Structural model:
Unit cell a=4.908 b=4.908 c=16.251 alpha=90.00 beta=90.00 gamma=120.00
Fractional positions:
1 Tb 0.333 0.667 0.044
2 Tb 0.333 0.667 0.456
3 Tb 0.667 0.333 0.544
4 Tb 0.667 0.333 0.956
5 Sc 0.333 0.667 0.250
6 Sc 0.667 0.333 0.750
7 Ni 0.000 0.000 0.000
8 Ni 0.000 0.000 0.250
9 Ni 0.000 0.000 0.500
10 Ni 0.000 0.000 0.750
11 Ni 0.167 0.334 0.629
12 Ni 0.167 0.334 0.871
13 Ni 0.167 0.833 0.629
14 Ni 0.167 0.833 0.871
15 Ni 0.333 0.667 0.750
16 Ni 0.334 0.167 0.129
17 Ni 0.334 0.167 0.371
18 Ni 0.666 0.833 0.629
19 Ni 0.666 0.833 0.871
20 Ni 0.667 0.333 0.250
21 Ni 0.833 0.167 0.129
22 Ni 0.833 0.167 0.371
23 Ni 0.833 0.666 0.129
24 Ni 0.833 0.666 0.371



# 12
For Sc5Ni2Te2, a DFT-relaxed cell (PBE, Alexandria) gives the simulated X-ray diffraction stick pattern in this record (Cu Kα X-rays).
Neutral-atom scattering factors, no anomalous dispersion.

Largest 6 diffraction maxima, in order of rising 2θ, 5° ≤ 2θ ≤ 70°:
2θ 25.95, rel. 691; 2θ 31.24, rel. 402; 2θ 34.21, rel. 1000; 2θ 34.54, rel. 405; 2θ 38.64, rel. 520; 2θ 45.70, rel. 659

Structural model:
Unit cell a=17.934 b=3.970 c=10.672 alpha=90.00 beta=90.00 gamma=90.00
Fractional positions:
1 Sc 0.019 0.250 0.173
2 Sc 0.073 0.750 0.560
3 Sc 0.132 0.250 0.803
4 Sc 0.152 0.750 0.283
5 Sc 0.226 0.250 0.480
6 Sc 0.274 0.750 0.980
7 Sc 0.348 0.250 0.783
8 Sc 0.368 0.750 0.303
9 Sc 0.427 0.250 0.060
10 Sc 0.481 0.750 0.673
11 Sc 0.519 0.250 0.327
12 Sc 0.573 0.750 0.940
13 Sc 0.632 0.250 0.697
14 Sc 0.652 0.750 0.217
15 Sc 0.726 0.250 0.020
16 Sc 0.774 0.750 0.520
17 Sc 0.848 0.250 0.717
18 Sc 0.868 0.750 0.197
19 Sc 0.927 0.250 0.440
20 Sc 0.981 0.750 0.827
21 Ni 0.005 0.250 0.674
22 Ni 0.084 0.250 0.397
23 Ni 0.416 0.750 0.897
24 Ni 0.495 0.750 0.174
25 Ni 0.505 0.250 0.826
26 Ni 0.584 0.250 0.103
27 Ni 0.916 0.750 0.603
28 Ni 0.995 0.750 0.326
29 Te 0.108 0.750 0.010
30 Te 0.233 0.750 0.692
31 Te 0.267 0.250 0.192
32 Te 0.392 0.250 0.510
33 Te 0.608 0.750 0.490
34 Te 0.733 0.750 0.808
35 Te 0.767 0.250 0.308
36 Te 0.892 0.250 0.990